Entry 1:
Simulated powder diffraction line list
Compound: ErSc2ZnPd4
Radiation: a wavelength of 1.5418 Å
Structure: DFT lattice parameters and positions (PBE)
Neutral-atom scattering factors, no anomalous dispersion.

Peak list (10 most intense, 15° ≤ 2θ ≤ 90°, sorted by position)
2θ 23.4, 3.798 Å, intensity 17
2θ 38.4, 2.345 Å, intensity 98
2θ 38.8, 2.322 Å, intensity 100
2θ 45.3, 2.002 Å, intensity 8
2θ 55.7, 1.650 Å, intensity 32
2θ 69.2, 1.358 Å, intensity 14
2θ 69.9, 1.345 Å, intensity 32
2θ 70.2, 1.341 Å, intensity 17
2θ 82.2, 1.172 Å, intensity 9
2θ 83.2, 1.161 Å, intensity 10

Atomic structure:
```
ErSc2ZnPd4
1.0
2.3222 1.3407 7.6946
-2.3222 1.3407 7.6946
0.0000 -2.6814 7.6946
Er Sc Zn Pd
1 2 1 4
Direct
0.0000 0.0000 0.0000 Er
0.2426 0.2426 0.2426 Sc
0.7574 0.7574 0.7574 Sc
0.5000 0.5000 0.5000 Zn
0.1246 0.1246 0.1246 Pd
0.3815 0.3815 0.3815 Pd
0.6185 0.6185 0.6185 Pd
0.8754 0.8754 0.8754 Pd
```


Entry 2:
Simulated powder diffraction line list
Compound: NiAg5Br12
Radiation: a wavelength of 1.5418 Å
Structure: DFT lattice parameters and positions (PBE)
Neutral-atom scattering factors, no anomalous dispersion.

Peak list (10 most intense, 15° ≤ 2θ ≤ 90°, sorted by position)
2θ 23.1, 3.849 Å, intensity 47
2θ 24.1, 3.688 Å, intensity 48
2θ 27.2, 3.277 Å, intensity 32
2θ 30.2, 2.961 Å, intensity 29
2θ 33.0, 2.717 Å, intensity 37
2θ 37.4, 2.405 Å, intensity 72
2θ 37.7, 2.387 Å, intensity 100
2θ 42.7, 2.118 Å, intensity 45
2θ 44.6, 2.031 Å, intensity 28
2θ 48.5, 1.876 Å, intensity 51

Atomic structure:
```
NiAg5Br12
1.0
6.8192 0.0000 0.0000
2.4735 6.3563 0.0000
3.2473 1.9356 13.6168
Ni Ag Br
1 5 12
Direct
0.0000 0.0000 0.0000 Ni
0.1665 0.1675 0.4992 Ag
0.3351 0.3347 0.0001 Ag
0.5000 0.5000 0.5000 Ag
0.6649 0.6653 0.9999 Ag
0.8335 0.8325 0.5008 Ag
0.0059 0.2163 0.1105 Br
0.0668 0.8553 0.6188 Br
0.2672 0.4812 0.3813 Br
0.2812 0.6542 0.0966 Br
0.2904 0.0799 0.8894 Br
0.3996 0.1886 0.6184 Br
0.6004 0.8114 0.3816 Br
0.7096 0.9201 0.1106 Br
0.7188 0.3458 0.9034 Br
0.7328 0.5188 0.6187 Br
0.9332 0.1447 0.3812 Br
0.9941 0.7837 0.8895 Br
```


Entry 3:
Simulated powder diffraction line list
Compound: Ca3Cu11
Radiation: a wavelength of 1.5418 Å
Structure: DFT lattice parameters and positions (PBE)
Neutral-atom scattering factors, no anomalous dispersion.

Peak list (10 most intense, 15° ≤ 2θ ≤ 90°, sorted by position)
2θ 19.9, 4.457 Å, intensity 64
2θ 35.5, 2.531 Å, intensity 34
2θ 36.8, 2.444 Å, intensity 100
2θ 37.2, 2.419 Å, intensity 46
2θ 37.4, 2.406 Å, intensity 38
2θ 40.1, 2.251 Å, intensity 71
2θ 42.7, 2.118 Å, intensity 74
2θ 43.4, 2.083 Å, intensity 89
2θ 47.5, 1.913 Å, intensity 66
2θ 47.8, 1.901 Å, intensity 35

Atomic structure:
```
Ca3Cu11
1.0
-2.0829 4.4574 6.1495
2.0829 -4.4574 6.1495
2.0829 4.4574 -6.1495
Ca Cu
3 11
Direct
0.0000 0.0000 0.0000 Ca
0.3061 0.3061 0.0000 Ca
0.6939 0.6939 0.0000 Ca
0.0258 0.6780 0.3478 Cu
0.1601 0.8820 0.2780 Cu
0.2958 0.5000 0.7958 Cu
0.3303 0.6780 0.6522 Cu
0.3960 0.1180 0.2780 Cu
0.5000 0.0000 0.5000 Cu
0.6040 0.8820 0.7220 Cu
0.6697 0.3220 0.3478 Cu
0.7042 0.5000 0.2042 Cu
0.8399 0.1180 0.7220 Cu
0.9742 0.3220 0.6522 Cu
```


Entry 4:
Simulated powder diffraction line list
Compound: Ba4Tl5Hg6
Radiation: a wavelength of 1.5418 Å
Structure: DFT lattice parameters and positions (PBE)
Neutral-atom scattering factors, no anomalous dispersion.

Peak list (10 most intense, 15° ≤ 2θ ≤ 90°, sorted by position)
2θ 28.0, 3.189 Å, intensity 91
2θ 28.5, 3.132 Å, intensity 70
2θ 30.3, 2.946 Å, intensity 100
2θ 31.2, 2.870 Å, intensity 69
2θ 31.6, 2.828 Å, intensity 50
2θ 31.9, 2.802 Å, intensity 41
2θ 33.4, 2.682 Å, intensity 86
2θ 35.0, 2.565 Å, intensity 62
2θ 35.5, 2.528 Å, intensity 53
2θ 38.9, 2.316 Å, intensity 89

Atomic structure:
```
Ba4Tl5Hg6
1.0
2.3161 -12.7774 0.0000
2.3161 12.7774 0.0000
0.0000 0.0000 17.2294
Ba Tl Hg
8 10 12
Direct
0.0368 0.9632 0.5000 Ba
0.0675 0.9325 0.7655 Ba
0.1245 0.8755 0.2569 Ba
0.1933 0.8067 0.9408 Ba
0.8067 0.1933 0.4408 Ba
0.8755 0.1245 0.7569 Ba
0.9325 0.0675 0.2655 Ba
0.9632 0.0368 0.0000 Ba
0.1961 0.8039 0.5950 Tl
0.3163 0.6837 0.2707 Tl
0.3285 0.6715 0.6013 Tl
0.3615 0.6385 0.9373 Tl
0.4754 0.5246 0.6522 Tl
0.5246 0.4754 0.1522 Tl
0.6385 0.3615 0.4373 Tl
0.6715 0.3285 0.1013 Tl
0.6837 0.3163 0.7707 Tl
0.8039 0.1961 0.0950 Tl
0.0879 0.9121 0.0625 Hg
0.2123 0.7877 0.4090 Hg
0.2671 0.7329 0.7592 Hg
0.3883 0.6117 0.1162 Hg
0.4222 0.5778 0.4326 Hg
0.4705 0.5295 0.8391 Hg
0.5295 0.4705 0.3391 Hg
0.5778 0.4222 0.9326 Hg
0.6117 0.3883 0.6162 Hg
0.7329 0.2671 0.2592 Hg
0.7877 0.2123 0.9090 Hg
0.9121 0.0879 0.5625 Hg
```